# NaCa2Te
Calculated powder diffraction line list, CuKα. Input: the PBE geometry in Alexandria.
No peak broadening, texture or thermal motion is included.

Most intense lines, 10° ≤ 2θ ≤ 90°, by angle:
2θ (°), I (rel.), (hkl)
11.52, 61.9, 0 0 1
24.61, 28.9, 1 0 1
30.84, 56.0, 1 1 0
31.93, 100.0, 1 0 2
33.03, 20.2, 1 1 1
55.54, 38.6, 2 1 2

Structural model:
Lattice parameters (Å, degrees): 4.100 4.100 7.682 90.00 90.00 90.00
Space group P4/mmm (No. 123)
Asymmetric unit:
Na  0.000  0.000  0.000 (multiplicity 1)
Ca  0.500  0.500  0.268 (multiplicity 2)
Te  0.000  0.000  0.500 (multiplicity 1)